No. 1
The following is a theoretical XRD peak list of Dy2Ho3Tm4. It was derived from a crystal structure in Alexandria, relaxed with PBE, using Cu Ka.

a = 9.831 Å, b = 9.831 Å, c = 6.045 Å
α = 94.87°, β = 94.87°, γ = 70.98°
Element x y z (fractional)
Dy (0.021, 0.735, 0.679)
Dy (0.265, 0.979, 0.821)
Dy (0.735, 0.021, 0.179)
Dy (0.979, 0.265, 0.321)
Ho (0.096, 0.904, 0.250)
Ho (0.237, 0.431, 0.410)
Ho (0.431, 0.237, 0.910)
Ho (0.569, 0.763, 0.090)
Ho (0.763, 0.569, 0.590)
Ho (0.904, 0.096, 0.750)
Tm (0.074, 0.355, 0.848)
Tm (0.312, 0.596, 0.986)
Tm (0.355, 0.074, 0.348)
Tm (0.404, 0.688, 0.514)
Tm (0.596, 0.312, 0.486)
Tm (0.645, 0.926, 0.652)
Tm (0.688, 0.404, 0.014)
Tm (0.926, 0.645, 0.152)

Top 8 peaks for 10 to 90 degrees two-theta, sorted by position:
two_theta  intensity
28.87  13
30.70  59
31.37  100
32.30  93
38.11  31
38.67  25
50.99  13
56.95  20

=====

No. 2
The following is a theoretical XRD peak list of AcCrBi. It was derived from a crystal structure in Alexandria, relaxed with PBE, using Cu Ka.

a = 3.888 Å, b = 3.888 Å, c = 12.046 Å
α = 93.60°, β = 93.60°, γ = 75.82°
Element x y z (fractional)
Ac (0.220, 0.220, 0.368)
Ac (0.780, 0.780, 0.632)
Cr (0.136, 0.136, 0.044)
Cr (0.864, 0.864, 0.956)
Bi (0.299, 0.299, 0.840)
Bi (0.701, 0.701, 0.160)

Top 8 peaks for 10 to 90 degrees two-theta, sorted by position:
two_theta  intensity
27.33  63
28.59  100
29.20  38
29.76  26
31.81  31
37.40  21
37.65  31
48.34  20

=====

No. 3
The following is a theoretical XRD peak list of Er5Tl2Bi. It was derived from a crystal structure in Alexandria, relaxed with PBE, using Cu Ka.

a = 8.794 Å, b = 8.794 Å, c = 8.794 Å
α = 123.00°, β = 123.00°, γ = 84.87°
Element x y z (fractional)
Er (0.000, 0.000, 0.000)
Er (0.000, 0.500, 0.200)
Er (0.000, 0.500, 0.800)
Er (0.200, 0.000, 0.500)
Er (0.300, 0.800, 0.800)
Er (0.500, 0.300, 0.500)
Er (0.500, 0.500, 0.000)
Er (0.500, 0.700, 0.500)
Er (0.700, 0.200, 0.200)
Er (0.800, 0.000, 0.500)
Tl (0.151, 0.349, 0.500)
Tl (0.349, 0.849, 0.198)
Tl (0.651, 0.151, 0.802)
Tl (0.849, 0.651, 0.500)
Bi (0.250, 0.250, 0.000)
Bi (0.750, 0.750, 0.000)

Top 8 peaks for 10 to 90 degrees two-theta, sorted by position:
two_theta  intensity
30.12  10
31.42  14
31.56  100
33.78  62
34.96  10
48.52  10
49.49  11
63.44  24

=====

No. 4
The following is a theoretical XRD peak list of Nd5HoBi5. It was derived from a crystal structure in Alexandria, relaxed with PBE, using Cu Ka.

a = 7.859 Å, b = 7.859 Å, c = 9.064 Å
α = 107.00°, β = 107.00°, γ = 48.34°
Element x y z (fractional)
Nd (0.000, 0.000, 0.000)
Nd (0.330, 0.330, 0.166)
Nd (0.337, 0.337, 0.672)
Nd (0.663, 0.663, 0.328)
Nd (0.670, 0.670, 0.834)
Ho (0.000, 0.000, 0.500)
Bi (0.164, 0.164, 0.830)
Bi (0.166, 0.166, 0.337)
Bi (0.500, 0.500, 0.500)
Bi (0.834, 0.834, 0.663)
Bi (0.836, 0.836, 0.170)

Top 8 peaks for 10 to 90 degrees two-theta, sorted by position:
two_theta  intensity
27.76  100
27.92  49
39.70  78
39.80  39
49.19  42
64.92  23
65.21  18
72.02  21

=====

No. 5
The following is a theoretical XRD peak list of Ba2Mg6GaPd. It was derived from a crystal structure in Alexandria, relaxed with PBE, using Cu Ka.

a = 7.194 Å, b = 7.194 Å, c = 7.618 Å
α = 118.13°, β = 118.13°, γ = 59.95°
Element x y z (fractional)
Ba (0.213, 0.213, 0.139)
Ba (0.787, 0.787, 0.861)
Mg (0.244, 0.244, 0.668)
Mg (0.244, 0.681, 0.669)
Mg (0.319, 0.756, 0.331)
Mg (0.681, 0.244, 0.669)
Mg (0.756, 0.319, 0.331)
Mg (0.756, 0.756, 0.332)
Ga (0.500, 0.500, 0.000)
Pd (0.000, 0.000, 0.500)

Top 8 peaks for 10 to 90 degrees two-theta, sorted by position:
two_theta  intensity
23.42  56
24.76  100
27.31  54
28.48  21
34.34  54
42.79  32
49.75  30
50.77  28

=====

No. 6
The following is a theoretical XRD peak list of Ce7HN5. It was derived from a crystal structure in Alexandria, relaxed with PBE, using Cu Ka.

a = 6.144 Å, b = 6.144 Å, c = 20.970 Å
α = 92.03°, β = 92.03°, γ = 33.40°
Element x y z (fractional)
Ce (0.000, 0.000, 0.000)
Ce (0.006, 0.006, 0.572)
Ce (0.107, 0.107, 0.282)
Ce (0.176, 0.176, 0.791)
Ce (0.277, 0.277, 0.501)
Ce (0.284, 0.284, 0.073)
Ce (0.442, 0.442, 0.855)
Ce (0.465, 0.465, 0.714)
Ce (0.550, 0.550, 0.429)
Ce (0.565, 0.565, 0.142)
Ce (0.719, 0.719, 0.931)
Ce (0.734, 0.734, 0.644)
Ce (0.818, 0.818, 0.359)
Ce (0.842, 0.842, 0.217)
H (0.454, 0.454, 0.312)
H (0.830, 0.830, 0.762)
N (0.075, 0.075, 0.891)
N (0.096, 0.096, 0.681)
N (0.188, 0.188, 0.392)
N (0.209, 0.209, 0.182)
N (0.365, 0.365, 0.961)
N (0.373, 0.373, 0.611)
N (0.642, 0.642, 0.036)
N (0.642, 0.642, 0.537)
N (0.910, 0.910, 0.462)
N (0.919, 0.919, 0.112)

Top 8 peaks for 10 to 90 degrees two-theta, sorted by position:
two_theta  intensity
29.24  64
30.87  57
31.32  100
31.65  63
33.07  86
34.11  91
35.05  59
35.48  75

=====

No. 7
The following is a theoretical XRD peak list of Fe4NiRh3. It was derived from a crystal structure in Alexandria, relaxed with PBE, using Cu Ka.

a = 7.691 Å, b = 7.691 Å, c = 7.691 Å
α = 151.59°, β = 151.59°, γ = 40.62°
Element x y z (fractional)
Fe (0.122, 0.622, 0.500)
Fe (0.378, 0.878, 0.500)
Fe (0.622, 0.122, 0.500)
Fe (0.878, 0.378, 0.500)
Ni (0.000, 0.000, 0.000)
Rh (0.251, 0.251, 0.000)
Rh (0.500, 0.500, 0.000)
Rh (0.749, 0.749, 0.000)

Top 8 peaks for 10 to 90 degrees two-theta, sorted by position:
two_theta  intensity
24.68  6
42.11  100
48.21  33
50.62  14
70.56  10
72.49  18
85.72  23
89.38  10

=====

No. 8
The following is a theoretical XRD peak list of PmPIrF. It was derived from a crystal structure in Alexandria, relaxed with PBE, using Cu Ka.

a = 3.936 Å, b = 3.936 Å, c = 8.443 Å
α = 90.00°, β = 90.00°, γ = 90.00°
Element x y z (fractional)
Pm (0.250, 0.250, 0.190)
Pm (0.750, 0.750, 0.810)
P (0.250, 0.250, 0.664)
P (0.750, 0.750, 0.336)
Ir (0.250, 0.750, 0.500)
Ir (0.750, 0.250, 0.500)
F (0.250, 0.750, 0.000)
F (0.750, 0.250, 0.000)

Top 8 peaks for 10 to 90 degrees two-theta, sorted by position:
two_theta  intensity
10.48  86
24.96  35
31.07  27
31.80  28
33.92  56
38.75  100
46.13  41
80.44  24

=====

No. 9
The following is a theoretical XRD peak list of Zr4PaAg. It was derived from a crystal structure in Alexandria, relaxed with PBE, using Cu Ka.

a = 5.240 Å, b = 7.919 Å, c = 7.919 Å
α = 24.03°, β = 90.00°, γ = 90.00°
Element x y z (fractional)
Zr (0.000, 0.000, 0.000)
Zr (0.000, 0.324, 0.324)
Zr (0.500, 0.163, 0.163)
Zr (0.500, 0.838, 0.838)
Pa (0.500, 0.498, 0.498)
Ag (0.000, 0.664, 0.664)

Top 8 peaks for 10 to 90 degrees two-theta, sorted by position:
two_theta  intensity
11.42  11
34.22  30
34.75  28
36.61  100
49.57  21
62.84  20
63.51  19
77.82  11

=====

No. 10
The following is a theoretical XRD peak list of Rb2SnBr5. It was derived from a crystal structure in Alexandria, relaxed with PBE, using Cu Ka.

a = 8.347 Å, b = 8.347 Å, c = 8.464 Å
α = 118.00°, β = 118.00°, γ = 48.29°
Element x y z (fractional)
Rb (0.233, 0.233, 0.261)
Rb (0.767, 0.767, 0.739)
Sn (0.986, 0.014, 0.500)
Br (0.074, 0.900, 0.177)
Br (0.100, 0.926, 0.823)
Br (0.218, 0.218, 0.675)
Br (0.595, 0.405, 0.500)
Br (0.782, 0.782, 0.325)

Top 8 peaks for 10 to 90 degrees two-theta, sorted by position:
two_theta  intensity
12.20  58
14.64  100
21.02  54
26.10  76
27.31  75
32.17  40
36.86  38
38.13  43